# RbGa2HgB
Calculated powder diffractogram, Cu Kα, 1.54184 Å. Input: a structure optimized by DFT (GGA-PBE).
Neutral-atom scattering factors, no anomalous dispersion.

Peak list (10 most intense, 10 to 90 degrees two-theta, by angle)
hkl  d/Å  I (rel.)
1 0 0  6.372  100
1 1 0  4.511  25
1 1 1  3.685  54
0 0 2  3.202  26
2 0 0  3.186  51
1 0 2  2.861  30
2 1 0  2.850  30
2 0 2  2.259  39
2 1 2  2.129  27
2 2 2  1.843  21

Crystal structure
```
data_RbGa2HgB
_chemical_formula_sum 'Rb1 Ga2 Hg1 B1'
_space_group_name_H-M_alt 'P 4/m m m'
_space_group_IT_number 123
_space_group_name_Hall '-P 4 2'
_cell_length_a 6.372
_cell_length_b 6.372
_cell_length_c 6.405
_cell_angle_alpha 90.00
_cell_angle_beta 90.00
_cell_angle_gamma 90.00
loop_
_atom_site_label
_atom_site_type_symbol
_atom_site_fract_x
_atom_site_fract_y
_atom_site_fract_z
Rb1 Rb 0.000 0.000 0.000
Ga1 Ga 0.000 0.500 0.000
Hg1 Hg 0.000 0.000 0.500
B1 B 0.500 0.500 0.500
```

***

# AcPr6Dy3
Calculated powder diffractogram, Cu Kα, 1.54184 Å. Input: a structure optimized by DFT (GGA-PBE).
Neutral-atom scattering factors, no anomalous dispersion.

Peak list (10 most intense, 10 to 90 degrees two-theta, by angle)
hkl  d/Å  I (rel.)
1 3 2  3.259  37
2 2 2  3.126  37
3 1 1  3.090  41
2 4 0  3.039  20
1 1 3  2.924  13
0 2 3  2.890  100
1 5 1  2.788  26
3 1 2  2.682  41
3 1 3  2.257  11
5 5 1  1.653  12

Crystal structure
```
data_AcPr6Dy3
_chemical_formula_sum 'Ac4 Pr24 Dy12'
_space_group_name_H-M_alt 'C m c 21'
_space_group_IT_number 36
_cell_length_a 10.055
_cell_length_b 15.258
_cell_length_c 9.363
_cell_angle_alpha 90.00
_cell_angle_beta 90.00
_cell_angle_gamma 90.00
loop_
_space_group_symop_operation_xyz
'x,y,z'
'-x,-y,z+1/2'
'-x,y,z'
'x,-y,z+1/2'
'x+1/2,y+1/2,z'
'-x+1/2,-y+1/2,z+1/2'
'-x+1/2,y+1/2,z'
'x+1/2,-y+1/2,z+1/2'
loop_
_atom_site_label
_atom_site_type_symbol
_atom_site_fract_x
_atom_site_fract_y
_atom_site_fract_z
Ac1 Ac 0.000 0.194 0.000
Pr1 Pr 0.000 0.264 0.626
Pr2 Pr 0.000 0.438 0.877
Pr3 Pr 0.178 0.352 0.227
Pr4 Pr 0.179 0.135 0.398
Dy1 Dy 0.000 0.036 0.710
Dy2 Dy 0.208 0.434 0.569
```

***

Q: Number 2 is which compound?
A: AcPr6Dy3